ErTm3Zn2: theoretical powder diffraction line list (copper Kα), based on a structure optimized by DFT (PBE).
Kinematic intensities with the Lorentz-polarization factor, no thermal factor.

The 10 most intense peaks (10 to 80 degrees two-theta), by intensity:
d (Å)  intensity
2.649  1000
2.552  838
2.971  695
2.470  635
2.773  431
1.505  396
2.681  362
2.723  263
1.817  231
2.227  185

Structural model:
Cell: 4.9391 8.9419 6.7019 Å, 90.00 90.00 90.00°
Fractional positions:
Er1 0.0000 0.0559 0.0000
Er2 0.0000 0.9441 0.5000
Tm1 0.0000 0.3252 0.6490
Tm2 0.0000 0.6748 0.1490
Tm3 0.5000 0.1765 0.3162
Tm4 0.5000 0.4441 0.9645
Tm5 0.5000 0.5559 0.4645
Tm6 0.5000 0.8235 0.8162
Zn1 0.0000 0.3519 0.2107
Zn2 0.0000 0.6481 0.7107
Zn3 0.5000 0.1484 0.7540
Zn4 0.5000 0.8516 0.2540

Dy2TeS: theoretical powder diffraction line list (copper Kα), based on a structure optimized by DFT (PBE).
Kinematic intensities with the Lorentz-polarization factor, no thermal factor.

The 10 most intense peaks (10 to 80 degrees two-theta), by intensity:
d (Å)  intensity
2.865  1000
2.483  529
2.117  479
3.141  382
2.026  352
3.405  290
1.570  238
1.703  231
1.464  221
1.281  138

Structural model:
Cell: 5.7320 6.2819 11.4594 Å, 90.00 90.00 90.00°
Fractional positions:
Dy1 0.0000 0.1872 0.1360
Dy2 0.0000 0.1942 0.6079
Dy3 0.0000 0.8058 0.3921
Dy4 0.0000 0.8128 0.8640
Dy5 0.5000 0.1872 0.3640
Dy6 0.5000 0.1942 0.8921
Dy7 0.5000 0.8058 0.1079
Dy8 0.5000 0.8128 0.6360
Te1 0.0000 0.3082 0.8717
Te2 0.0000 0.6918 0.1283
Te3 0.5000 0.3082 0.6283
Te4 0.5000 0.6918 0.3717
S1 0.0000 0.2425 0.3717
S2 0.0000 0.7575 0.6283
S3 0.5000 0.2425 0.1283
S4 0.5000 0.7575 0.8717

Nd3OsO7: theoretical powder diffraction line list (copper Kα), based on a structure optimized by DFT (PBE).
Kinematic intensities with the Lorentz-polarization factor, no thermal factor.

The 10 most intense peaks (10 to 80 degrees two-theta), by intensity:
d (Å)  intensity
3.164  1000
3.127  974
2.724  694
1.926  558
1.635  289
1.651  252
1.911  164
1.218  141
1.944  128
1.639  121

Structural model:
Cell: 6.6891 6.6891 7.6423 Å, 90.00 90.00 108.93°
Fractional positions:
Nd1 0.0264 0.0264 0.0000
Nd2 0.0354 0.4987 0.2553
Nd3 0.4987 0.0354 0.7447
Nd4 0.5013 0.9646 0.2447
Nd5 0.9646 0.5013 0.7553
Nd6 0.9736 0.9736 0.5000
Os1 0.4992 0.4992 0.0000
Os2 0.5008 0.5008 0.5000
O1 0.1305 0.8695 0.7500
O2 0.1361 0.8639 0.2500
O3 0.1834 0.4241 0.9754
O4 0.1970 0.4434 0.5335
O5 0.4241 0.1834 0.0246
O6 0.4370 0.5630 0.2500
O7 0.4434 0.1970 0.4665
O8 0.5566 0.8030 0.9665
O9 0.5630 0.4370 0.7500
O10 0.5759 0.8166 0.5246
O11 0.8030 0.5566 0.0335
O12 0.8166 0.5759 0.4754
O13 0.8639 0.1361 0.7500
O14 0.8695 0.1305 0.2500

Ac2VZnS6: theoretical powder diffraction line list (copper Kα), based on a structure optimized by DFT (PBE).
Kinematic intensities with the Lorentz-polarization factor, no thermal factor.

The 10 most intense peaks (10 to 80 degrees two-theta), by intensity:
d (Å)  intensity
3.372  1000
2.402  431
2.726  339
1.932  331
2.794  279
3.335  272
4.804  270
1.686  263
2.366  234
3.462  223

Structural model:
Cell: 6.6705 9.4659 6.9249 Å, 90.00 90.00 90.00°
Fractional positions:
Ac1 0.2500 0.0145 0.2066
Ac2 0.2500 0.4855 0.2066
Ac3 0.7500 0.5145 0.7934
Ac4 0.7500 0.9855 0.7934
V1 0.2500 0.7500 0.7219
V2 0.7500 0.2500 0.2781
Zn1 0.2500 0.2500 0.7495
Zn2 0.7500 0.7500 0.2505
S1 0.0113 0.7500 0.0062
S2 0.0144 0.2500 0.4756
S3 0.2500 0.5042 0.7678
S4 0.2500 0.9958 0.7678
S5 0.4856 0.2500 0.4756
S6 0.4887 0.7500 0.0062
S7 0.5113 0.2500 0.9938
S8 0.5144 0.7500 0.5244
S9 0.7500 0.0042 0.2322
S10 0.7500 0.4958 0.2322
S11 0.9856 0.7500 0.5244
S12 0.9887 0.2500 0.9938

ThIn3Ni2: theoretical powder diffraction line list (copper Kα), based on a structure optimized by DFT (PBE).
Kinematic intensities with the Lorentz-polarization factor, no thermal factor.

The 10 most intense peaks (10 to 80 degrees two-theta), by intensity:
d (Å)  intensity
2.653  1000
2.542  771
2.168  598
2.829  499
2.916  398
2.484  317
2.091  244
1.628  218
1.390  201
1.601  188

Structural model:
Cell: 6.4949 6.4949 5.8326 Å, 90.00 90.00 86.19°
Fractional positions:
Th1 0.1060 0.8940 0.7500
Th2 0.8940 0.1060 0.2500
In1 0.0657 0.5964 0.2500
In2 0.4036 0.9343 0.2500
In3 0.4720 0.5280 0.7500
In4 0.5280 0.4720 0.2500
In5 0.5964 0.0657 0.7500
In6 0.9343 0.4036 0.7500
Ni1 0.2567 0.2567 0.0000
Ni2 0.2567 0.2567 0.5000
Ni3 0.7433 0.7433 0.0000
Ni4 0.7433 0.7433 0.5000

SrCu2PdF8: theoretical powder diffraction line list (copper Kα), based on a structure optimized by DFT (PBE).
Kinematic intensities with the Lorentz-polarization factor, no thermal factor.

The 10 most intense peaks (10 to 80 degrees two-theta), by intensity:
d (Å)  intensity
3.181  1000
1.671  418
2.710  239
1.940  232
2.778  209
1.964  174
1.641  164
1.590  150
1.260  115
2.422  85

Structural model:
Cell: 6.6940 6.6940 6.6940 Å, 130.96 130.96 71.88°
Fractional positions:
Sr1 0.0000 0.0000 0.0000
Cu1 0.2500 0.7500 0.5000
Cu2 0.5000 0.5000 0.0000
Pd1 0.7500 0.2500 0.5000
F1 0.0083 0.6308 0.0440
F2 0.0357 0.9917 0.6226
F3 0.1476 0.3153 0.5708
F4 0.3692 0.4131 0.3774
F5 0.4232 0.8524 0.1677
F6 0.5869 0.9643 0.9560
F7 0.6847 0.2555 0.8323
F8 0.7445 0.5768 0.4292